This entry pairs a crystal structure of TmTh2Tl9 with its calculated X-ray powder pattern. Radiation: Cu Kα X-rays. Structure: a structure optimized by DFT (GGA-PBE).

Top 10 peaks for 2θ = 10–90°, in order of rising 2θ:
- 32.31 deg, d = 2.771 Å, I 100
- 37.43 deg, d = 2.403 Å, I 34
- 37.59 deg, d = 2.393 Å, I 17
- 53.96 deg, d = 1.699 Å, I 12
- 54.09 deg, d = 1.696 Å, I 24
- 64.31 deg, d = 1.448 Å, I 29
- 64.53 deg, d = 1.444 Å, I 14
- 67.62 deg, d = 1.385 Å, I 12
- 88.75 deg, d = 1.102 Å, I 6
- 88.95 deg, d = 1.100 Å, I 12

Atomic structure:
```
TmTh2Tl9
1.0
4.8059 0.0000 0.0000
0.0000 4.8059 0.0000
0.0000 0.0000 14.3576
Tm Th Tl
1 2 9
direct
0.0000 0.0000 0.0000 Tm
0.0000 0.0000 0.3316 Th
0.0000 0.0000 0.6684 Th
0.0000 0.5000 0.1613 Tl
0.0000 0.5000 0.5000 Tl
0.0000 0.5000 0.8387 Tl
0.5000 0.0000 0.1613 Tl
0.5000 0.0000 0.5000 Tl
0.5000 0.0000 0.8387 Tl
0.5000 0.5000 0.0000 Tl
0.5000 0.5000 0.3317 Tl
0.5000 0.5000 0.6683 Tl
```